The following is a simulated X-ray diffraction stick pattern of Pa2Co4Ge5. It was derived from a DFT-relaxed cell (GGA-PBE, Alexandria), using CuKα.

Peak list (10 most intense, 15° ≤ 2θ ≤ 90°, in order of falling intensity)
| d [Å] | I_rel |
| --- | --- |
| 2.315 | 100.0 |
| 2.270 | 87.4 |
| 2.139 | 79.8 |
| 3.341 | 73.3 |
| 2.868 | 72.9 |
| 2.581 | 49.7 |
| 1.434 | 36.1 |
| 1.311 | 32.7 |
| 1.849 | 31.2 |
| 1.645 | 26.9 |

Cell and atoms:
```
11
Lattice="0.0000 4.5401 7.3977 2.6221 0.0000 7.3977 2.6221 4.5401 0.0000" Properties=species:S:1:pos:R:3 pbc="T T T"
Pa 2.6221 4.5401 1.9977
Pa 2.6221 4.5401 12.7976
Co 2.6221 3.1411 5.4493
Co 2.6221 3.1411 9.3460
Co 2.6221 5.9392 5.4493
Co 2.6221 5.9392 9.3460
Ge 1.3111 2.2701 0.0000
Ge 1.3111 2.2701 3.6988
Ge 1.3111 2.2701 7.3977
Ge 2.6221 4.5401 7.3977
Ge 3.9332 6.8102 11.0965
```

=====

The following is a simulated X-ray diffraction stick pattern of ThPaCo2Ge2. It was derived from a DFT-relaxed cell (GGA-PBE, Alexandria), using CuKα.

Peak list (10 most intense, 15° ≤ 2θ ≤ 90°, in order of falling intensity)
| d [Å] | I_rel |
| --- | --- |
| 2.601 | 100.0 |
| 2.093 | 41.4 |
| 3.626 | 32.8 |
| 1.631 | 24.7 |
| 1.286 | 22.6 |
| 1.393 | 20.5 |
| 1.867 | 8.9 |
| 1.660 | 8.7 |
| 1.177 | 7.9 |
| 1.209 | 7.0 |

Cell and atoms:
```
6
Lattice="4.1865 0.0000 0.0000 -2.0933 3.6257 0.0000 0.0000 0.0000 7.4672" Properties=species:S:1:pos:R:3 pbc="T T T"
Th 0.0000 0.0000 0.0000
Pa 0.0000 0.0000 3.7336
Co 0.0000 2.4171 5.4031
Co 2.0933 1.2086 2.0641
Ge 0.0000 2.4171 1.9337
Ge 2.0933 1.2086 5.5335
```

=====

The following is a simulated X-ray diffraction stick pattern of UPaCo5Ge2. It was derived from a DFT-relaxed cell (GGA-PBE, Alexandria), using CuKα.

Peak list (10 most intense, 15° ≤ 2θ ≤ 90°, in order of falling intensity)
| d [Å] | I_rel |
| --- | --- |
| 2.338 | 100.0 |
| 2.907 | 69.8 |
| 1.967 | 51.4 |
| 1.891 | 30.0 |
| 2.782 | 28.9 |
| 1.629 | 26.6 |
| 1.195 | 23.3 |
| 3.934 | 21.9 |
| 1.363 | 21.3 |
| 2.000 | 16.5 |

Cell and atoms:
```
9
Lattice="3.9343 0.0000 0.0000 0.0000 3.9343 0.0000 0.0000 0.0000 8.6274" Properties=species:S:1:pos:R:3 pbc="T T T"
U 0.0000 0.0000 0.0000
Pa 0.0000 0.0000 4.3137
Co 0.0000 1.9672 2.4763
Co 0.0000 1.9672 6.1512
Co 1.9672 0.0000 2.4763
Co 1.9672 0.0000 6.1512
Co 1.9672 1.9672 4.3137
Ge 1.9672 1.9672 1.2712
Ge 1.9672 1.9672 7.3562
```

=====

The following is a simulated X-ray diffraction stick pattern of Pm2CoGe4Pd3. It was derived from a DFT-relaxed cell (GGA-PBE, Alexandria), using CuKα.

Peak list (10 most intense, 15° ≤ 2θ ≤ 90°, in order of falling intensity)
| d [Å] | I_rel |
| --- | --- |
| 2.594 | 100.0 |
| 2.676 | 68.4 |
| 2.120 | 62.2 |
| 1.662 | 32.4 |
| 1.860 | 30.2 |
| 1.398 | 23.4 |
| 1.298 | 22.9 |
| 1.499 | 20.2 |
| 2.999 | 19.8 |
| 1.959 | 15.0 |

Cell and atoms:
```
10
Lattice="4.2409 0.0000 0.0000 0.0000 4.2409 0.0000 0.0000 0.0000 10.3508" Properties=species:S:1:pos:R:3 pbc="T T T"
Pm 0.0000 2.1205 2.5340
Pm 2.1205 0.0000 7.8168
Co 2.1205 2.1205 0.0000
Ge 0.0000 0.0000 5.1754
Ge 0.0000 2.1205 9.0707
Ge 2.1205 0.0000 1.2802
Ge 2.1205 2.1205 5.1754
Pd 0.0000 0.0000 0.0000
Pd 0.0000 2.1205 6.5902
Pd 2.1205 0.0000 3.7606
```

=====

What did the third record say?
The following is a simulated X-ray diffraction stick pattern of UPaCo5Ge2. It was derived from a DFT-relaxed cell (GGA-PBE, Alexandria), using CuKα.

Peak list (10 most intense, 15° ≤ 2θ ≤ 90°, in order of falling intensity)
| d [Å] | I_rel |
| --- | --- |
| 2.338 | 100.0 |
| 2.907 | 69.8 |
| 1.967 | 51.4 |
| 1.891 | 30.0 |
| 2.782 | 28.9 |
| 1.629 | 26.6 |
| 1.195 | 23.3 |
| 3.934 | 21.9 |
| 1.363 | 21.3 |
| 2.000 | 16.5 |

Cell and atoms:
```
9
Lattice="3.9343 0.0000 0.0000 0.0000 3.9343 0.0000 0.0000 0.0000 8.6274" Properties=species:S:1:pos:R:3 pbc="T T T"
U 0.0000 0.0000 0.0000
Pa 0.0000 0.0000 4.3137
Co 0.0000 1.9672 2.4763
Co 0.0000 1.9672 6.1512
Co 1.9672 0.0000 2.4763
Co 1.9672 0.0000 6.1512
Co 1.9672 1.9672 4.3137
Ge 1.9672 1.9672 1.2712
Ge 1.9672 1.9672 7.3562
```

=====

Q: What is the formula in the second record?
A: ThPaCo2Ge2